Theoretical X-ray diffraction stick pattern
Compound: VZnSe2O7
Radiation: λ = 1.5418 Å (Cu Kα)
Structure: a PBE+U-relaxed structure
No peak broadening, texture or thermal motion is included.

Structure:
Cell lengths 7.564, 12.831, 7.789 Å; angles 90.00, 120.68, 90.00 degrees
Space group P2_1/c (No. 14)
Inequivalent atoms, fractional coordinates:
V 0.036 0.246 0.274
Zn 0.283 0.507 0.484
Se 0.161 0.511 0.844
Se 0.465 0.730 0.392
O 0.001 0.092 0.198
O 0.033 0.235 0.487
O 0.057 0.095 0.781
O 0.266 0.737 0.929
O 0.314 0.535 0.748
O 0.337 0.228 0.380
O 0.470 0.594 0.425

Peak list (10 most intense, 10 to 80 degrees two-theta, sorted by position)
14.9 deg, d 5.938, I = 24.0
22.8 deg, d 3.894, I = 100.0
24.4 deg, d 3.642, I = 35.7
27.8 deg, d 3.208, I = 86.2
30.2 deg, d 2.958, I = 25.0
30.8 deg, d 2.900, I = 67.3
36.3 deg, d 2.476, I = 25.6
38.8 deg, d 2.321, I = 13.9
48.9 deg, d 1.863, I = 13.5
51.1 deg, d 1.787, I = 22.4